# Ga4Te3N2
Calculated powder diffraction line list, Cu Ka. Input: a crystal structure in the Materials Project, relaxed with PBE.

```
data_Ga4Te3N2
_cell_length_a 6.3735
_cell_length_b 11.3404
_cell_length_c 11.9952
_cell_angle_alpha 90.00
_cell_angle_beta 90.00
_cell_angle_gamma 90.00
_symmetry_space_group_name_H-M 'P 1'
_symmetry_Int_Tables_number 1
loop_
_symmetry_equiv_pos_as_xyz
'x,y,z'
loop_
_atom_site_label
_atom_site_type_symbol
_atom_site_fract_x
_atom_site_fract_y
_atom_site_fract_z
_atom_site_occupancy
Ga1 Ga 0.0563 0.2500 0.1163 1
Ga2 Ga 0.0675 0.7500 0.1174 1
Ga3 Ga 0.2140 0.0000 0.9906 1
Ga4 Ga 0.2140 0.5000 0.9906 1
Ga5 Ga 0.2860 0.0000 0.4906 1
Ga6 Ga 0.2860 0.5000 0.4906 1
Ga7 Ga 0.4325 0.2500 0.6174 1
Ga8 Ga 0.4437 0.7500 0.6163 1
Ga9 Ga 0.5563 0.2500 0.3837 1
Ga10 Ga 0.5675 0.7500 0.3826 1
Ga11 Ga 0.7140 0.0000 0.5094 1
Ga12 Ga 0.7140 0.5000 0.5094 1
Ga13 Ga 0.7860 0.0000 0.0094 1
Ga14 Ga 0.7860 0.5000 0.0094 1
Ga15 Ga 0.9325 0.2500 0.8826 1
Ga16 Ga 0.9437 0.7500 0.8837 1
Te1 Te 0.0136 0.0220 0.6642 1
Te2 Te 0.0136 0.4780 0.6642 1
Te3 Te 0.0165 0.7500 0.6579 1
Te4 Te 0.4835 0.2500 0.1579 1
Te5 Te 0.4864 0.5220 0.1642 1
Te6 Te 0.4864 0.9780 0.1642 1
Te7 Te 0.5136 0.0220 0.8358 1
Te8 Te 0.5136 0.4780 0.8358 1
Te9 Te 0.5165 0.7500 0.8421 1
Te10 Te 0.9835 0.2500 0.3421 1
Te11 Te 0.9864 0.5220 0.3358 1
Te12 Te 0.9864 0.9780 0.3358 1
N1 N 0.0019 0.1230 0.0147 1
N2 N 0.0019 0.3770 0.0147 1
N3 N 0.4981 0.6230 0.5147 1
N4 N 0.4981 0.8770 0.5147 1
N5 N 0.5019 0.1230 0.4853 1
N6 N 0.5019 0.3770 0.4853 1
N7 N 0.9981 0.6230 0.9853 1
N8 N 0.9981 0.8770 0.9853 1
```

Most intense lines, 2θ from 5° to 70°, in order of rising 2θ:
10.74 deg, I = 38
22.26 deg, I = 37
24.69 deg, I = 34
26.31 deg, I = 100
28.00 deg, I = 47
30.75 deg, I = 58
31.29 deg, I = 43
31.56 deg, I = 93
41.34 deg, I = 44
52.92 deg, I = 47